(1)
This entry pairs a crystal structure of InSiSb with its calculated powder diffraction line list. Radiation: Cu Kα X-rays. Structure: a cell relaxed with GGA-PBE.

Structural model:
```
data_InSiSb
_space_group_name_H-M_alt 'P 1'
_space_group_IT_number 1
_cell_length_a 6.674
_cell_length_b 6.559
_cell_length_c 3.457
_cell_angle_alpha 76.72
_cell_angle_beta 73.01
_cell_angle_gamma 30.27
loop_
_space_group_symop_operation_xyz
'x,y,z'
loop_
_atom_site_label
_atom_site_type_symbol
_atom_site_fract_x
_atom_site_fract_y
_atom_site_fract_z
In1 In 0.000 0.000 0.000
Si1 Si 0.342 0.342 0.658
Sb1 Sb 0.712 0.712 0.288
```

Principal peaks in the range 5 to 70 degrees two-theta, sorted by position:
Position (°2θ)	I/Imax
27.0	43
29.0	22
34.1	100
34.5	29
39.5	20
53.4	16
59.1	15
61.6	17

(2)
This entry pairs a crystal structure of Cs8Hg6O with its calculated powder diffraction line list. Radiation: Cu Kα X-rays. Structure: a cell relaxed with GGA-PBE.

Structural model:
```
data_Cs8Hg6O
_space_group_name_H-M_alt 'P 1'
_space_group_IT_number 1
_cell_length_a 9.603
_cell_length_b 9.603
_cell_length_c 9.603
_cell_angle_alpha 75.11
_cell_angle_beta 75.11
_cell_angle_gamma 75.11
loop_
_space_group_symop_operation_xyz
'x,y,z'
loop_
_atom_site_label
_atom_site_type_symbol
_atom_site_fract_x
_atom_site_fract_y
_atom_site_fract_z
Cs1 Cs 0.118 0.118 0.118
Cs2 Cs 0.208 0.423 0.619
Cs3 Cs 0.381 0.792 0.577
Cs4 Cs 0.423 0.619 0.208
Cs5 Cs 0.577 0.381 0.792
Cs6 Cs 0.619 0.208 0.423
Cs7 Cs 0.792 0.577 0.381
Cs8 Cs 0.882 0.882 0.882
Hg1 Hg 0.025 0.144 0.524
Hg2 Hg 0.144 0.524 0.025
Hg3 Hg 0.476 0.975 0.856
Hg4 Hg 0.524 0.025 0.144
Hg5 Hg 0.856 0.476 0.975
Hg6 Hg 0.975 0.856 0.476
O1 O 0.500 0.500 0.500
```

Principal peaks in the range 5 to 70 degrees two-theta, sorted by position:
Position (°2θ)	I/Imax
13.0	20
19.5	29
23.6	100
24.8	37
26.1	35
29.1	56
32.0	63
43.0	18

(3)
This entry pairs a crystal structure of MgNpZn11 with its calculated powder diffraction line list. Radiation: Cu Kα X-rays. Structure: a cell relaxed with GGA-PBE.

Structural model:
```
data_MgNpZn11
_space_group_name_H-M_alt 'P 1'
_space_group_IT_number 1
_cell_length_a 6.826
_cell_length_b 6.826
_cell_length_c 6.885
_cell_angle_alpha 98.64
_cell_angle_beta 98.64
_cell_angle_gamma 133.96
loop_
_space_group_symop_operation_xyz
'x,y,z'
loop_
_atom_site_label
_atom_site_type_symbol
_atom_site_fract_x
_atom_site_fract_y
_atom_site_fract_z
Mg1 Mg 0.000 0.000 0.000
Np1 Np 0.000 0.000 0.500
Zn1 Zn 0.000 0.500 0.500
Zn2 Zn 0.005 0.362 0.850
Zn3 Zn 0.291 0.508 0.289
Zn4 Zn 0.362 0.005 0.850
Zn5 Zn 0.492 0.709 0.711
Zn6 Zn 0.500 0.000 0.500
Zn7 Zn 0.500 0.500 0.000
Zn8 Zn 0.508 0.291 0.289
Zn9 Zn 0.638 0.995 0.150
Zn10 Zn 0.709 0.492 0.711
Zn11 Zn 0.995 0.638 0.150
```

Principal peaks in the range 5 to 70 degrees two-theta, sorted by position:
Position (°2θ)	I/Imax
27.8	19
28.0	20
33.6	23
34.5	56
39.3	66
39.9	23
40.0	30
40.3	100

(4)
This entry pairs a crystal structure of Tb10Er4Sc with its calculated powder diffraction line list. Radiation: Cu Kα X-rays. Structure: a cell relaxed with GGA-PBE.

Structural model:
```
data_Tb10Er4Sc
_space_group_name_H-M_alt 'P 1'
_space_group_IT_number 1
_cell_length_a 8.842
_cell_length_b 8.842
_cell_length_c 8.842
_cell_angle_alpha 100.52
_cell_angle_beta 100.52
_cell_angle_gamma 129.40
loop_
_space_group_symop_operation_xyz
'x,y,z'
loop_
_atom_site_label
_atom_site_type_symbol
_atom_site_fract_x
_atom_site_fract_y
_atom_site_fract_z
Tb1 Tb 0.008 0.218 0.790
Tb2 Tb 0.218 0.008 0.790
Tb3 Tb 0.218 0.428 0.210
Tb4 Tb 0.250 0.750 0.500
Tb5 Tb 0.428 0.218 0.210
Tb6 Tb 0.572 0.782 0.790
Tb7 Tb 0.750 0.250 0.500
Tb8 Tb 0.782 0.572 0.790
Tb9 Tb 0.782 0.992 0.210
Tb10 Tb 0.992 0.782 0.210
Er1 Er 0.266 0.266 0.531
Er2 Er 0.266 0.734 0.000
Er3 Er 0.734 0.266 0.000
Er4 Er 0.734 0.734 0.469
Sc1 Sc 0.500 0.500 0.000
```

Principal peaks in the range 5 to 70 degrees two-theta, sorted by position:
Position (°2θ)	I/Imax
24.9	31
28.4	69
31.7	100
32.6	94
33.6	27
34.5	30
41.5	38
45.4	25

(5)
This entry pairs a crystal structure of RbPuCd17 with its calculated powder diffraction line list. Radiation: Cu Kα X-rays. Structure: a cell relaxed with GGA-PBE.

Structural model:
```
data_RbPuCd17
_space_group_name_H-M_alt 'P 1'
_space_group_IT_number 1
_cell_length_a 7.812
_cell_length_b 7.812
_cell_length_c 7.812
_cell_angle_alpha 82.20
_cell_angle_beta 82.20
_cell_angle_gamma 82.20
loop_
_space_group_symop_operation_xyz
'x,y,z'
loop_
_atom_site_label
_atom_site_type_symbol
_atom_site_fract_x
_atom_site_fract_y
_atom_site_fract_z
Rb1 Rb 0.000 0.000 0.000
Pu1 Pu 0.330 0.330 0.330
Cd1 Cd 0.034 0.034 0.476
Cd2 Cd 0.034 0.476 0.034
Cd3 Cd 0.147 0.674 0.674
Cd4 Cd 0.312 0.312 0.791
Cd5 Cd 0.312 0.791 0.312
Cd6 Cd 0.366 0.658 0.960
Cd7 Cd 0.366 0.960 0.658
Cd8 Cd 0.476 0.034 0.034
Cd9 Cd 0.554 0.554 0.554
Cd10 Cd 0.658 0.366 0.960
Cd11 Cd 0.658 0.960 0.366
Cd12 Cd 0.674 0.147 0.674
Cd13 Cd 0.674 0.674 0.147
Cd14 Cd 0.753 0.753 0.753
Cd15 Cd 0.791 0.312 0.312
Cd16 Cd 0.960 0.366 0.658
Cd17 Cd 0.960 0.658 0.366
```

Principal peaks in the range 5 to 70 degrees two-theta, sorted by position:
Position (°2θ)	I/Imax
30.1	23
30.9	19
35.0	100
35.3	20
35.7	29
39.3	29
62.7	11
63.2	22

(6)
This entry pairs a crystal structure of Ca3Cd2Hg6 with its calculated powder diffraction line list. Radiation: Cu Kα X-rays. Structure: a cell relaxed with GGA-PBE.

Structural model:
```
data_Ca3Cd2Hg6
_space_group_name_H-M_alt 'P 1'
_space_group_IT_number 1
_cell_length_a 17.022
_cell_length_b 17.022
_cell_length_c 17.022
_cell_angle_alpha 165.52
_cell_angle_beta 165.52
_cell_angle_gamma 20.54
loop_
_space_group_symop_operation_xyz
'x,y,z'
loop_
_atom_site_label
_atom_site_type_symbol
_atom_site_fract_x
_atom_site_fract_y
_atom_site_fract_z
Ca1 Ca 0.000 0.000 0.000
Ca2 Ca 0.180 0.180 0.000
Ca3 Ca 0.820 0.820 0.000
Cd1 Cd 0.362 0.362 0.000
Cd2 Cd 0.638 0.638 0.000
Hg1 Hg 0.072 0.572 0.500
Hg2 Hg 0.274 0.274 0.000
Hg3 Hg 0.428 0.928 0.500
Hg4 Hg 0.572 0.072 0.500
Hg5 Hg 0.726 0.726 0.000
Hg6 Hg 0.928 0.428 0.500
```

Principal peaks in the range 5 to 70 degrees two-theta, sorted by position:
Position (°2θ)	I/Imax
15.9	71
22.2	27
29.9	100
33.6	44
36.2	41
36.6	68
42.1	57
57.7	26

(7)
This entry pairs a crystal structure of Np2Zn12Au5 with its calculated powder diffraction line list. Radiation: Cu Kα X-rays. Structure: a cell relaxed with GGA-PBE.

Structural model:
```
data_Np2Zn12Au5
_space_group_name_H-M_alt 'P 1'
_space_group_IT_number 1
_cell_length_a 6.967
_cell_length_b 6.967
_cell_length_c 6.967
_cell_angle_alpha 84.07
_cell_angle_beta 84.07
_cell_angle_gamma 84.07
loop_
_space_group_symop_operation_xyz
'x,y,z'
loop_
_atom_site_label
_atom_site_type_symbol
_atom_site_fract_x
_atom_site_fract_y
_atom_site_fract_z
Np1 Np 0.153 0.153 0.153
Np2 Np 0.847 0.847 0.847
Zn1 Zn 0.148 0.148 0.667
Zn2 Zn 0.148 0.667 0.148
Zn3 Zn 0.196 0.500 0.804
Zn4 Zn 0.196 0.804 0.500
Zn5 Zn 0.333 0.852 0.852
Zn6 Zn 0.500 0.196 0.804
Zn7 Zn 0.500 0.804 0.196
Zn8 Zn 0.667 0.148 0.148
Zn9 Zn 0.804 0.196 0.500
Zn10 Zn 0.804 0.500 0.196
Zn11 Zn 0.852 0.333 0.852
Zn12 Zn 0.852 0.852 0.333
Au1 Au 0.000 0.500 0.500
Au2 Au 0.390 0.390 0.390
Au3 Au 0.500 0.000 0.500
Au4 Au 0.500 0.500 0.000
Au5 Au 0.610 0.610 0.610
```

Principal peaks in the range 5 to 70 degrees two-theta, sorted by position:
Position (°2θ)	I/Imax
29.1	41
33.3	43
38.6	100
39.2	66
40.2	50
40.7	33
40.8	29
43.9	43

(8)
This entry pairs a crystal structure of Tb2Er4Mg with its calculated powder diffraction line list. Radiation: Cu Kα X-rays. Structure: a cell relaxed with GGA-PBE.

Structural model:
```
data_Tb2Er4Mg
_space_group_name_H-M_alt 'P 1'
_space_group_IT_number 1
_cell_length_a 5.972
_cell_length_b 6.476
_cell_length_c 11.361
_cell_angle_alpha 90.00
_cell_angle_beta 105.15
_cell_angle_gamma 90.00
loop_
_space_group_symop_operation_xyz
'x,y,z'
loop_
_atom_site_label
_atom_site_type_symbol
_atom_site_fract_x
_atom_site_fract_y
_atom_site_fract_z
Tb1 Tb 0.106 0.250 0.004
Tb2 Tb 0.220 0.250 0.576
Tb3 Tb 0.780 0.750 0.424
Tb4 Tb 0.894 0.750 0.996
Er1 Er 0.145 0.502 0.288
Er2 Er 0.145 0.998 0.288
Er3 Er 0.353 0.750 0.560
Er4 Er 0.472 0.750 0.126
Er5 Er 0.528 0.250 0.874
Er6 Er 0.647 0.250 0.440
Er7 Er 0.855 0.002 0.712
Er8 Er 0.855 0.498 0.712
Mg1 Mg 0.343 0.750 0.834
Mg2 Mg 0.657 0.250 0.166
```

Principal peaks in the range 5 to 70 degrees two-theta, sorted by position:
Position (°2θ)	I/Imax
28.8	27
29.9	33
32.1	54
32.3	100
33.8	67
34.1	55
44.4	24
66.9	25

(9)
This entry pairs a crystal structure of ScH3C3O6 with its calculated powder diffraction line list. Radiation: Cu Kα X-rays. Structure: a cell relaxed with GGA-PBE.

Structural model:
```
data_ScH3C3O6
_space_group_name_H-M_alt 'P 1'
_space_group_IT_number 1
_cell_length_a 7.142
_cell_length_b 7.142
_cell_length_c 7.142
_cell_angle_alpha 103.08
_cell_angle_beta 103.08
_cell_angle_gamma 103.08
loop_
_space_group_symop_operation_xyz
'x,y,z'
loop_
_atom_site_label
_atom_site_type_symbol
_atom_site_fract_x
_atom_site_fract_y
_atom_site_fract_z
Sc1 Sc 0.000 0.000 0.000
Sc2 Sc 0.500 0.500 0.500
H1 H 0.056 0.750 0.444
H2 H 0.250 0.556 0.944
H3 H 0.444 0.056 0.750
H4 H 0.556 0.944 0.250
H5 H 0.750 0.444 0.056
H6 H 0.944 0.250 0.556
C1 C 0.043 0.250 0.457
C2 C 0.250 0.457 0.043
C3 C 0.457 0.043 0.250
C4 C 0.543 0.957 0.750
C5 C 0.750 0.543 0.957
C6 C 0.957 0.750 0.543
O1 O 0.022 0.887 0.709
O2 O 0.113 0.291 0.978
O3 O 0.209 0.387 0.522
O4 O 0.291 0.978 0.113
O5 O 0.387 0.522 0.209
O6 O 0.478 0.791 0.613
O7 O 0.522 0.209 0.387
O8 O 0.613 0.478 0.791
O9 O 0.709 0.022 0.887
O10 O 0.791 0.613 0.478
O11 O 0.887 0.709 0.022
O12 O 0.978 0.113 0.291
```

Principal peaks in the range 5 to 70 degrees two-theta, sorted by position:
Position (°2θ)	I/Imax
15.8	100
26.2	59
26.8	26
31.3	24
34.8	20
38.9	17
42.8	13
57.1	12

(10)
This entry pairs a crystal structure of Li6AgPb5 with its calculated powder diffraction line list. Radiation: Cu Kα X-rays. Structure: a cell relaxed with GGA-PBE.

Structural model:
```
data_Li6AgPb5
_space_group_name_H-M_alt 'P 1'
_space_group_IT_number 1
_cell_length_a 4.910
_cell_length_b 7.025
_cell_length_c 7.599
_cell_angle_alpha 90.00
_cell_angle_beta 103.59
_cell_angle_gamma 90.00
loop_
_space_group_symop_operation_xyz
'x,y,z'
loop_
_atom_site_label
_atom_site_type_symbol
_atom_site_fract_x
_atom_site_fract_y
_atom_site_fract_z
Li1 Li 0.000 0.238 0.000
Li2 Li 0.000 0.762 0.000
Li3 Li 0.350 0.237 0.676
Li4 Li 0.350 0.763 0.676
Li5 Li 0.650 0.237 0.324
Li6 Li 0.650 0.763 0.324
Ag1 Ag 0.500 0.000 0.000
Pb1 Pb 0.152 0.000 0.326
Pb2 Pb 0.158 0.500 0.335
Pb3 Pb 0.500 0.500 0.000
Pb4 Pb 0.842 0.500 0.665
Pb5 Pb 0.848 0.000 0.674
```

Principal peaks in the range 5 to 70 degrees two-theta, sorted by position:
Position (°2θ)	I/Imax
24.5	100
25.4	93
26.8	80
35.5	87
36.5	41
37.2	77
45.0	41
45.2	41

(11)
This entry pairs a crystal structure of CrGa2SbSe with its calculated powder diffraction line list. Radiation: Cu Kα X-rays. Structure: a cell relaxed with GGA-PBE.

Structural model:
```
data_CrGa2SbSe
_space_group_name_H-M_alt 'P 1'
_space_group_IT_number 1
_cell_length_a 5.324
_cell_length_b 5.324
_cell_length_c 5.476
_cell_angle_alpha 90.00
_cell_angle_beta 90.00
_cell_angle_gamma 90.00
loop_
_space_group_symop_operation_xyz
'x,y,z'
loop_
_atom_site_label
_atom_site_type_symbol
_atom_site_fract_x
_atom_site_fract_y
_atom_site_fract_z
Cr1 Cr 0.000 0.000 0.000
Ga1 Ga 0.000 0.500 0.500
Ga2 Ga 0.500 0.000 0.500
Sb1 Sb 0.500 0.500 0.500
Se1 Se 0.500 0.500 0.000
```

Principal peaks in the range 5 to 70 degrees two-theta, sorted by position:
Position (°2θ)	I/Imax
16.2	32
16.7	75
28.8	49
32.7	54
33.7	100
47.6	73
48.4	35
59.6	37

(12)
This entry pairs a crystal structure of PmYOs4 with its calculated powder diffraction line list. Radiation: Cu Kα X-rays. Structure: a cell relaxed with GGA-PBE.

Structural model:
```
data_PmYOs4
_space_group_name_H-M_alt 'P 1'
_space_group_IT_number 1
_cell_length_a 5.394
_cell_length_b 5.394
_cell_length_c 5.394
_cell_angle_alpha 60.00
_cell_angle_beta 60.00
_cell_angle_gamma 60.00
loop_
_space_group_symop_operation_xyz
'x,y,z'
loop_
_atom_site_label
_atom_site_type_symbol
_atom_site_fract_x
_atom_site_fract_y
_atom_site_fract_z
Pm1 Pm 0.000 0.000 0.000
Y1 Y 0.250 0.250 0.250
Os1 Os 0.125 0.625 0.625
Os2 Os 0.625 0.125 0.625
Os3 Os 0.625 0.625 0.125
Os4 Os 0.625 0.625 0.625
```

Principal peaks in the range 5 to 70 degrees two-theta, sorted by position:
Position (°2θ)	I/Imax
20.2	26
33.2	15
39.2	100
41.0	56
47.7	13
52.3	7
63.4	33
69.7	30

Please write out number 12 again, unchanged.
This entry pairs a crystal structure of PmYOs4 with its calculated powder diffraction line list. Radiation: Cu Kα X-rays. Structure: a cell relaxed with GGA-PBE.

Structural model:
```
data_PmYOs4
_space_group_name_H-M_alt 'P 1'
_space_group_IT_number 1
_cell_length_a 5.394
_cell_length_b 5.394
_cell_length_c 5.394
_cell_angle_alpha 60.00
_cell_angle_beta 60.00
_cell_angle_gamma 60.00
loop_
_space_group_symop_operation_xyz
'x,y,z'
loop_
_atom_site_label
_atom_site_type_symbol
_atom_site_fract_x
_atom_site_fract_y
_atom_site_fract_z
Pm1 Pm 0.000 0.000 0.000
Y1 Y 0.250 0.250 0.250
Os1 Os 0.125 0.625 0.625
Os2 Os 0.625 0.125 0.625
Os3 Os 0.625 0.625 0.125
Os4 Os 0.625 0.625 0.625
```

Principal peaks in the range 5 to 70 degrees two-theta, sorted by position:
Position (°2θ)	I/Imax
20.2	26
33.2	15
39.2	100
41.0	56
47.7	13
52.3	7
63.4	33
69.7	30